Entry 1:
The following is a simulated X-ray diffraction stick pattern of Ho2Br2O. It was derived from the GGA-PBE geometry in the Materials Project, using Cu Kα (λ = 1.5418 Å).

Cell and atoms:
Cell lengths 4.1003, 4.1003, 13.1045 Å; angles 90.00, 90.00, 90.00 degrees
Fractional positions:
Ho 0.0000 0.0000 0.1561
Ho 0.0000 0.0000 0.8439
Br 0.0000 0.0000 0.3546
Br 0.0000 0.0000 0.6454
O 0.0000 0.0000 0.0000

Largest 6 diffraction maxima, by angle, 2θ from 10° to 90°:
21.7°, intensity 100.0; 30.8°, intensity 41.0; 35.1°, intensity 28.9; 41.6°, intensity 18.1; 47.1°, intensity 18.0; 49.7°, intensity 21.3

Entry 2:
The following is a simulated X-ray diffraction stick pattern of IBr. It was derived from the GGA-PBE geometry in the Materials Project, using Cu Kα (λ = 1.5418 Å).

Cell and atoms:
Cell lengths 7.8131, 5.2315, 8.7931 Å; angles 90.00, 90.00, 90.00 degrees
Fractional positions:
I 0.0000 0.0000 0.0000
I 0.0000 0.0000 0.5000
I 0.5000 0.5000 0.0000
I 0.5000 0.5000 0.5000
Br 0.0000 0.3101 0.2500
Br 0.0000 0.6899 0.7500
Br 0.5000 0.1899 0.7500
Br 0.5000 0.8101 0.2500

Largest 6 diffraction maxima, by angle, 2θ from 10° to 90°:
20.4°, intensity 35.0; 22.8°, intensity 100.0; 28.9°, intensity 79.5; 40.1°, intensity 22.8; 44.0°, intensity 24.8; 46.6°, intensity 29.4

Entry 3:
The following is a simulated X-ray diffraction stick pattern of IBr. It was derived from the GGA-PBE geometry in the Materials Project, using Cu Kα (λ = 1.5418 Å).

Cell and atoms:
Cell lengths 8.4288, 5.4132, 8.8164 Å; angles 90.00, 90.00, 90.00 degrees
Fractional positions:
I 0.0000 0.0000 0.0000
I 0.0000 0.0000 0.5000
I 0.5000 0.5000 0.0000
I 0.5000 0.5000 0.5000
Br 0.0000 0.2990 0.2500
Br 0.0000 0.7010 0.7500
Br 0.5000 0.2010 0.7500
Br 0.5000 0.7990 0.2500

Largest 6 diffraction maxima, by angle, 2θ from 10° to 90°:
19.5°, intensity 55.4; 21.1°, intensity 98.9; 22.0°, intensity 51.4; 28.2°, intensity 100.0; 41.6°, intensity 34.3; 44.8°, intensity 45.3

Entry 4:
The following is a simulated X-ray diffraction stick pattern of IBr2. It was derived from the GGA-PBE geometry in the Materials Project, using Cu Kα (λ = 1.5418 Å).

Cell and atoms:
Cell lengths 7.4462, 7.4462, 4.8564 Å; angles 90.00, 90.00, 90.00 degrees
Fractional positions:
I 0.0000 0.0000 0.0000
I 0.5000 0.5000 0.5000
Br 0.2482 0.2482 0.5000
Br 0.2518 0.7482 0.0000
Br 0.7482 0.2518 0.0000
Br 0.7518 0.7518 0.5000

Largest 6 diffraction maxima, by angle, 2θ from 10° to 90°:
16.8°, intensity 73.9; 21.8°, intensity 77.5; 24.9°, intensity 100.0; 32.6°, intensity 59.0; 34.1°, intensity 67.9; 42.7°, intensity 45.9

Entry 5:
The following is a simulated X-ray diffraction stick pattern of InI2Br. It was derived from the GGA-PBE geometry in the Materials Project, using Cu Kα (λ = 1.5418 Å).

Cell and atoms:
Cell lengths 7.2391, 7.3621, 8.4135 Å; angles 90.43, 115.29, 119.40 degrees
Fractional positions:
In 0.0000 0.0000 0.0000
In 0.3363 0.6696 0.0020
I 0.1738 0.2587 0.7701
I 0.1953 0.4136 0.2454
I 0.5093 0.9125 0.7669
I 0.8561 0.6024 0.7670
Br 0.4311 0.0258 0.2151
Br 0.8108 0.7842 0.2147

Largest 6 diffraction maxima, by angle, 2θ from 10° to 90°:
12.1°, intensity 100.0; 14.6°, intensity 41.3; 27.1°, intensity 98.3; 27.2°, intensity 98.7; 27.5°, intensity 96.7; 34.5°, intensity 50.0